1.
This entry pairs a crystal structure of TaAlCd4 with its theoretical X-ray powder pattern. Radiation: copper Kα. Structure: a crystal structure in Alexandria, relaxed with PBE.
No peak broadening, texture or thermal motion is included.

Most intense lines, 2θ from 15° to 90°, by angle:
| two_theta | Rel. int. |
| --- | --- |
| 19.3 | 22 |
| 22.3 | 13 |
| 31.8 | 22 |
| 37.4 | 100 |
| 39.2 | 45 |
| 60.4 | 32 |
| 66.4 | 26 |
| 79.8 | 16 |

Structural model:
```
TaAlCd4
1.0
0.0000 3.9844 3.9844
3.9844 0.0000 3.9844
3.9844 3.9844 0.0000
Ta Al Cd
1 1 4
Direct
0.0000 0.0000 0.0000
0.7500 0.7500 0.7500
0.3746 0.3746 0.3746
0.3746 0.3746 0.8763
0.3746 0.8763 0.3746
0.8763 0.3746 0.3746
```

2.
This entry pairs a crystal structure of AlCd4Te6 with its theoretical X-ray powder pattern. Radiation: copper Kα. Structure: a crystal structure in Alexandria, relaxed with PBE.
No peak broadening, texture or thermal motion is included.

Most intense lines, 2θ from 15° to 90°, by angle:
| two_theta | Rel. int. |
| --- | --- |
| 23.4 | 70 |
| 25.3 | 71 |
| 25.5 | 84 |
| 26.5 | 59 |
| 26.9 | 100 |
| 27.6 | 55 |
| 39.9 | 55 |
| 40.9 | 96 |

Structural model:
```
AlCd4Te6
1.0
6.8145 -4.0819 0.0000
6.8145 4.0819 0.0000
-4.5179 0.0000 13.5430
Al Cd Te
2 8 12
Direct
0.2362 0.7638 0.5000
0.7638 0.2362 0.0000
0.0007 0.1465 0.7642
0.1465 0.0007 0.2642
0.1540 0.3596 0.5691
0.2468 0.6346 0.9182
0.3596 0.1540 0.0691
0.6313 0.8455 0.7566
0.6346 0.2468 0.4182
0.8455 0.6313 0.2566
0.0009 0.5088 0.7537
0.2183 0.6449 0.3131
0.3546 0.9073 0.8778
0.4507 0.9557 0.5626
0.4596 0.4706 0.5906
0.4706 0.4596 0.0906
0.5088 0.0009 0.2537
0.6449 0.2183 0.8131
0.9052 0.9707 0.5598
0.9073 0.3546 0.3778
0.9557 0.4507 0.0626
0.9707 0.9052 0.0598
```

3.
This entry pairs a crystal structure of Th2Al3Cd with its theoretical X-ray powder pattern. Radiation: copper Kα. Structure: a crystal structure in Alexandria, relaxed with PBE.
No peak broadening, texture or thermal motion is included.

Most intense lines, 2θ from 15° to 90°, by angle:
| two_theta | Rel. int. |
| --- | --- |
| 20.4 | 33 |
| 22.8 | 20 |
| 27.5 | 47 |
| 31.4 | 100 |
| 34.9 | 39 |
| 39.8 | 18 |
| 49.0 | 20 |
| 57.0 | 19 |

Structural model:
```
Th2Al3Cd
1.0
-2.0782 2.2671 7.8153
2.0782 -2.2671 7.8153
2.0782 2.2671 -7.8153
Th Al Cd
2 3 1
Direct
0.0000 0.0000 0.0000
0.7736 0.2736 0.5000
0.1793 0.6793 0.5000
0.3419 0.8419 0.5000
0.4307 0.4307 0.0000
0.5977 0.5977 0.0000
```

4.
This entry pairs a crystal structure of ThAlZn2Cd with its theoretical X-ray powder pattern. Radiation: copper Kα. Structure: a crystal structure in Alexandria, relaxed with PBE.
No peak broadening, texture or thermal motion is included.

Most intense lines, 2θ from 15° to 90°, by angle:
| two_theta | Rel. int. |
| --- | --- |
| 22.2 | 36 |
| 29.5 | 23 |
| 31.9 | 67 |
| 33.7 | 100 |
| 42.2 | 44 |
| 45.9 | 38 |
| 53.8 | 31 |
| 64.1 | 27 |

Structural model:
```
ThAlZn2Cd
1.0
-2.1415 2.1415 5.5760
2.1415 -2.1415 5.5760
2.1415 2.1415 -5.5760
Th Al Zn Cd
1 1 2 1
Direct
0.0000 0.0000 0.0000
0.7500 0.2500 0.5000
0.3918 0.3918 0.0000
0.6082 0.6082 0.0000
0.2500 0.7500 0.5000
```

5.
This entry pairs a crystal structure of Ti6AlCd with its theoretical X-ray powder pattern. Radiation: copper Kα. Structure: a crystal structure in Alexandria, relaxed with PBE.
No peak broadening, texture or thermal motion is included.

Most intense lines, 2θ from 15° to 90°, by angle:
| two_theta | Rel. int. |
| --- | --- |
| 24.3 | 14 |
| 32.8 | 11 |
| 38.1 | 100 |
| 39.7 | 4 |
| 44.2 | 47 |
| 64.3 | 28 |
| 77.3 | 32 |
| 81.4 | 9 |

Structural model:
```
Ti6AlCd
1.0
4.0962 0.0000 0.0000
0.0000 4.0962 0.0000
0.0000 0.0000 8.1864
Ti Al Cd
6 1 1
Direct
0.0000 0.0000 0.0000
0.0000 0.0000 0.5000
0.0000 0.5000 0.2411
0.0000 0.5000 0.7589
0.5000 0.0000 0.2411
0.5000 0.0000 0.7589
0.5000 0.5000 0.0000
0.5000 0.5000 0.5000
```

6.
This entry pairs a crystal structure of Al2TlCd with its theoretical X-ray powder pattern. Radiation: copper Kα. Structure: a crystal structure in Alexandria, relaxed with PBE.
No peak broadening, texture or thermal motion is included.

Most intense lines, 2θ from 15° to 90°, by angle:
| two_theta | Rel. int. |
| --- | --- |
| 15.5 | 22 |
| 18.5 | 57 |
| 28.8 | 65 |
| 30.7 | 36 |
| 31.2 | 32 |
| 33.9 | 37 |
| 37.8 | 100 |
| 46.4 | 23 |

Structural model:
```
Al2TlCd
1.0
-1.5060 2.6455 5.7309
1.5060 -2.6455 5.7309
1.5060 2.6455 -5.7309
Al Tl Cd
2 1 1
Direct
0.0000 0.0000 0.0000
0.7959 0.2959 0.5000
0.5402 0.5402 0.0000
0.2414 0.7414 0.5000
```

7.
This entry pairs a crystal structure of Tm3Al3Cd2 with its theoretical X-ray powder pattern. Radiation: copper Kα. Structure: a crystal structure in Alexandria, relaxed with PBE.
No peak broadening, texture or thermal motion is included.

Most intense lines, 2θ from 15° to 90°, by angle:
| two_theta | Rel. int. |
| --- | --- |
| 24.3 | 42 |
| 32.0 | 64 |
| 32.5 | 100 |
| 33.0 | 37 |
| 34.7 | 24 |
| 36.5 | 74 |
| 39.9 | 44 |
| 70.2 | 28 |

Structural model:
```
Tm3Al3Cd2
1.0
2.2608 -5.5172 0.0000
2.2608 5.5172 0.0000
0.0000 0.0000 14.6332
Tm Al Cd
6 6 4
Direct
0.0756 0.9244 0.6152
0.0756 0.9244 0.8848
0.3463 0.6537 0.7500
0.6537 0.3463 0.2500
0.9244 0.0756 0.1152
0.9244 0.0756 0.3848
0.3682 0.6318 0.2500
0.3996 0.6004 0.5450
0.3996 0.6004 0.9550
0.6004 0.3996 0.0450
0.6004 0.3996 0.4550
0.6318 0.3682 0.7500
0.2162 0.7838 0.0960
0.2162 0.7838 0.4040
0.7838 0.2162 0.5960
0.7838 0.2162 0.9040
```

8.
This entry pairs a crystal structure of Tm6Al5Cd with its theoretical X-ray powder pattern. Radiation: copper Kα. Structure: a crystal structure in Alexandria, relaxed with PBE.
No peak broadening, texture or thermal motion is included.

Most intense lines, 2θ from 15° to 90°, by angle:
| two_theta | Rel. int. |
| --- | --- |
| 24.8 | 45 |
| 25.1 | 22 |
| 35.3 | 51 |
| 35.6 | 100 |
| 43.8 | 20 |
| 50.8 | 18 |
| 63.6 | 37 |
| 64.0 | 18 |

Structural model:
```
Tm6Al5Cd
1.0
2.5391 -7.6213 0.0000
2.5391 7.6213 0.0000
0.0000 0.0000 7.0968
Tm Al Cd
6 5 1
Direct
0.0000 0.0000 0.2455
0.0000 0.0000 0.7545
0.3313 0.6687 0.2483
0.3313 0.6687 0.7517
0.6687 0.3313 0.2483
0.6687 0.3313 0.7517
0.1643 0.8357 0.5000
0.1659 0.8341 0.0000
0.5000 0.5000 0.0000
0.8341 0.1659 0.0000
0.8357 0.1643 0.5000
0.5000 0.5000 0.5000
```

9.
This entry pairs a crystal structure of Tm4Al2ZnCd with its theoretical X-ray powder pattern. Radiation: copper Kα. Structure: a crystal structure in Alexandria, relaxed with PBE.
No peak broadening, texture or thermal motion is included.

Most intense lines, 2θ from 15° to 90°, by angle:
| two_theta | Rel. int. |
| --- | --- |
| 24.8 | 27 |
| 35.4 | 100 |
| 43.8 | 8 |
| 51.0 | 18 |
| 57.5 | 11 |
| 63.6 | 35 |
| 75.0 | 11 |
| 85.7 | 15 |

Structural model:
```
Tm4Al2ZnCd
1.0
2.5330 1.4625 8.2808
-2.5330 1.4625 8.2808
0.0000 -2.9249 8.2808
Tm Al Zn Cd
4 2 1 1
Direct
0.1215 0.1215 0.1215
0.3718 0.3718 0.3718
0.6282 0.6282 0.6282
0.8785 0.8785 0.8785
0.2483 0.2483 0.2483
0.7517 0.7517 0.7517
0.0000 0.0000 0.0000
0.5000 0.5000 0.5000
```

10.
This entry pairs a crystal structure of UAlCd with its theoretical X-ray powder pattern. Radiation: copper Kα. Structure: a crystal structure in Alexandria, relaxed with PBE.
No peak broadening, texture or thermal motion is included.

Most intense lines, 2θ from 15° to 90°, by angle:
| two_theta | Rel. int. |
| --- | --- |
| 24.5 | 16 |
| 31.8 | 24 |
| 36.4 | 100 |
| 37.1 | 23 |
| 44.7 | 28 |
| 59.4 | 24 |
| 66.3 | 19 |
| 76.8 | 23 |

Structural model:
```
UAlCd
1.0
2.8697 0.0000 0.0000
0.0000 2.8697 0.0000
0.0000 0.0000 14.5585
U Al Cd
2 2 2
Direct
0.2500 0.2500 0.0863
0.7500 0.7500 0.9137
0.2500 0.2500 0.7549
0.7500 0.7500 0.2451
0.2500 0.2500 0.4093
0.7500 0.7500 0.5907
```

11.
This entry pairs a crystal structure of AlCdW2 with its theoretical X-ray powder pattern. Radiation: copper Kα. Structure: a crystal structure in Alexandria, relaxed with PBE.
No peak broadening, texture or thermal motion is included.

Most intense lines, 2θ from 15° to 90°, by angle:
| two_theta | Rel. int. |
| --- | --- |
| 17.3 | 44 |
| 38.0 | 100 |
| 38.8 | 96 |
| 41.9 | 38 |
| 45.9 | 59 |
| 63.9 | 43 |
| 79.2 | 22 |
| 80.6 | 23 |

Structural model:
```
AlCdW2
1.0
4.7673 -1.3785 0.0000
4.7673 1.3785 0.0000
-0.5675 0.0000 5.1296
Al Cd W
1 1 2
Direct
0.0000 0.0000 0.0000
0.7546 0.7546 0.2331
0.2619 0.2619 0.7353
0.5061 0.5061 0.5148
```

12.
This entry pairs a crystal structure of Y6AlCd with its theoretical X-ray powder pattern. Radiation: copper Kα. Structure: a crystal structure in Alexandria, relaxed with PBE.
No peak broadening, texture or thermal motion is included.

Most intense lines, 2θ from 15° to 90°, by angle:
| two_theta | Rel. int. |
| --- | --- |
| 18.1 | 7 |
| 31.9 | 100 |
| 35.3 | 42 |
| 40.1 | 10 |
| 50.7 | 15 |
| 54.5 | 15 |
| 61.2 | 29 |
| 66.6 | 8 |

Structural model:
```
Y6AlCd
1.0
-2.5447 2.5447 8.9916
2.5447 -2.5447 8.9916
2.5447 2.5447 -8.9916
Y Al Cd
6 1 1
Direct
0.1080 0.6080 0.5000
0.2497 0.2497 0.0000
0.3920 0.8920 0.5000
0.6080 0.1080 0.5000
0.7503 0.7503 0.0000
0.8920 0.3920 0.5000
0.0000 0.0000 0.0000
0.5000 0.5000 0.0000
```

13.
This entry pairs a crystal structure of Y4AlCd with its theoretical X-ray powder pattern. Radiation: copper Kα. Structure: a crystal structure in Alexandria, relaxed with PBE.
No peak broadening, texture or thermal motion is included.

Most intense lines, 2θ from 15° to 90°, by angle:
| two_theta | Rel. int. |
| --- | --- |
| 21.3 | 30 |
| 24.6 | 49 |
| 35.0 | 100 |
| 35.2 | 99 |
| 50.5 | 34 |
| 62.7 | 17 |
| 63.1 | 34 |
| 63.2 | 17 |

Structural model:
```
Y4AlCd
1.0
2.5467 1.4703 8.3889
-2.5467 1.4703 8.3889
0.0000 -2.9406 8.3889
Y Al Cd
4 1 1
Direct
0.1224 0.1224 0.1224
0.3731 0.3731 0.3731
0.6269 0.6269 0.6269
0.8776 0.8776 0.8776
0.0000 0.0000 0.0000
0.5000 0.5000 0.5000
```

14.
This entry pairs a crystal structure of Y4Al3Cd with its theoretical X-ray powder pattern. Radiation: copper Kα. Structure: a crystal structure in Alexandria, relaxed with PBE.
No peak broadening, texture or thermal motion is included.

Most intense lines, 2θ from 15° to 90°, by angle:
| two_theta | Rel. int. |
| --- | --- |
| 21.1 | 6 |
| 24.4 | 11 |
| 34.8 | 100 |
| 50.0 | 12 |
| 50.1 | 6 |
| 62.4 | 35 |
| 73.5 | 7 |
| 83.8 | 10 |

Structural model:
```
Y4Al3Cd
1.0
10.3219 0.0000 0.0000
0.0000 7.2781 0.0000
0.0000 0.0000 5.1606
Y Al Cd
8 6 2
Direct
0.0000 0.2462 0.0000
0.0000 0.7538 0.0000
0.2500 0.2462 0.4990
0.2500 0.7538 0.4990
0.5000 0.2462 0.0000
0.5000 0.7538 0.0000
0.7500 0.2462 0.5010
0.7500 0.7538 0.5010
0.0000 0.0000 0.5000
0.2500 0.0000 0.9987
0.2500 0.5000 0.9989
0.5000 0.0000 0.5000
0.7500 0.0000 0.0013
0.7500 0.5000 0.0011
0.0000 0.5000 0.5000
0.5000 0.5000 0.5000
```